Structure and computed X-ray diffraction stick pattern of LiPrAg2Br6 (a DFT-relaxed cell (PBE, Alexandria); λ = 1.5418 Å (Cu Kα)).
Lines closer than 0.1° are merged.

The 6 most intense peaks (5° ≤ 2θ ≤ 70°), low angle first:
Position (°2θ), Rel. int., h k l
13.37, 22, 0 0 1
22.82, 21, 1 1 2
28.03, 100, 2 1 2
36.74, 25, 1 2 3
43.16, 43, 3 3 2
48.24, 20, 1 2 4

Structure:
Lattice parameters (Å, degrees): 7.255 7.259 7.829 62.46 62.55 60.09
Space group P1 (No. 1)
Symmetry-distinct sites (fractional):
Li1 0.000 0.000 0.000 [1 per cell]
Pr1 0.516 0.516 0.453 [1 per cell]
Ag1 0.206 0.203 0.387 [1 per cell]
Ag2 0.767 0.768 0.698 [1 per cell]
Br1 0.118 0.778 0.716 [1 per cell]
Br2 0.256 0.617 0.208 [1 per cell]
Br3 0.388 0.118 0.716 [1 per cell]
Br4 0.618 0.918 0.208 [1 per cell]
Br5 0.776 0.389 0.718 [1 per cell]
Br6 0.919 0.256 0.209 [1 per cell]

Structure and computed X-ray diffraction stick pattern of GaF (a DFT-relaxed cell (PBE, Alexandria); λ = 1.5418 Å (Cu Kα)).
Lines closer than 0.1° are merged.

The 6 most intense peaks (5° ≤ 2θ ≤ 70°), low angle first:
Position (°2θ), Rel. int., h k l
22.66, 64, 1 1 0
24.23, 100, 0 0 1
26.03, 32, 2 0 0
37.56, 42, 0 2 0
41.49, 31, 2 0 -2
45.20, 39, 0 2 1

Structure:
Lattice parameters (Å, degrees): 8.100 4.789 4.353 90.00 122.29 90.00
Space group C2/m (No. 12)
Symmetry-distinct sites (fractional):
Ga1 0.195 0.000 0.448 [4 per cell]
F1 0.099 0.000 0.848 [4 per cell]

Structure and computed X-ray diffraction stick pattern of Dy4Pb5 (a DFT-relaxed cell (PBE, Alexandria); λ = 1.5418 Å (Cu Kα)).
Lines closer than 0.1° are merged.

The 6 most intense peaks (5° ≤ 2θ ≤ 70°), low angle first:
Position (°2θ), Rel. int., h k l
31.75, 37, 2 1 1
32.50, 91, 3 0 0
33.21, 100, 1 1 2
47.15, 30, 2 2 2
58.44, 30, 4 1 2
66.49, 24, 3 0 4

Structure:
Lattice parameters (Å, degrees): 9.5425 9.5425 6.5416 90.00 90.00 120.00
Space group P6_3/mcm (No. 193)
Symmetry-distinct sites (fractional):
Dy1 0.0000 0.0000 0.0000 [2 per cell]
Dy2 0.0000 0.3810 0.2500 [6 per cell]
Pb1 0.0000 0.2883 0.7500 [6 per cell]
Pb2 0.3333 0.6667 0.0000 [4 per cell]

Structure and computed X-ray diffraction stick pattern of Rb2ZrTaI6 (a DFT-relaxed cell (PBE, Alexandria); λ = 1.5418 Å (Cu Kα)).
Lines closer than 0.1° are merged.

The 6 most intense peaks (5° ≤ 2θ ≤ 70°), low angle first:
Position (°2θ), Rel. int., h k l
15.04, 46, 1 1 0
26.20, 58, 2 0 2
30.34, 100, 2 2 0
43.44, 74, 4 0 0
51.43, 26, 4 2 2
53.90, 26, 4 0 4

Structure:
Lattice parameters (Å, degrees): 8.339 8.339 11.768 90.00 90.00 90.00
Space group I4/mmm (No. 139)
Symmetry-distinct sites (fractional):
Rb1 0.000 0.500 0.250 [4 per cell]
Zr1 0.000 0.000 0.000 [2 per cell]
Ta1 0.000 0.000 0.500 [2 per cell]
I1 0.000 0.000 0.255 [4 per cell]
I2 0.246 0.246 0.500 [8 per cell]

Structure and computed X-ray diffraction stick pattern of KErTcN3 (a DFT-relaxed cell (PBE, Alexandria); λ = 1.5418 Å (Cu Kα)).
Lines closer than 0.1° are merged.

The 6 most intense peaks (5° ≤ 2θ ≤ 70°), low angle first:
Position (°2θ), Rel. int., h k l
11.83, 100, 0 0 1
30.39, 21, 2 0 2
31.07, 47, 3 1 0
31.41, 17, 3 1 -1
31.75, 20, 4 0 -2
32.83, 46, 1 1 -2

Structure:
Lattice parameters (Å, degrees): 13.383 3.858 7.722 90.00 104.29 90.00
Space group C2/m (No. 12)
Symmetry-distinct sites (fractional):
K1 0.144 0.000 0.072 [4 per cell]
Er1 0.162 0.000 0.567 [4 per cell]
Tc1 0.001 0.500 0.326 [4 per cell]
N1 0.011 0.000 0.325 [4 per cell]
N2 0.138 0.500 0.782 [4 per cell]
N3 0.163 0.500 0.383 [4 per cell]

Structure and computed X-ray diffraction stick pattern of Ti8BAs2 (a DFT-relaxed cell (PBE, Alexandria); λ = 1.5418 Å (Cu Kα)).
Lines closer than 0.1° are merged.

The 6 most intense peaks (5° ≤ 2θ ≤ 70°), low angle first:
Position (°2θ), Rel. int., h k l
36.44, 48, 5 1 -1
37.16, 100, 5 1 0
40.13, 48, 1 1 -2
40.24, 57, 3 1 -2
41.11, 82, 0 2 0
46.01, 45, 5 1 1

Structure:
Lattice parameters (Å, degrees): 15.392 4.392 5.308 90.00 109.60 90.00
Space group C2/m (No. 12)
Symmetry-distinct sites (fractional):
Ti1 0.010 0.000 0.247 [4 per cell]
Ti2 0.085 0.500 0.723 [4 per cell]
Ti3 0.143 0.500 0.284 [4 per cell]
Ti4 0.224 0.000 0.132 [4 per cell]
B1 0.000 0.500 0.000 [2 per cell]
As1 0.169 0.000 0.612 [4 per cell]

Structure and computed X-ray diffraction stick pattern of LaEuIr (a DFT-relaxed cell (PBE, Alexandria); λ = 1.5418 Å (Cu Kα)).
Lines closer than 0.1° are merged.

The 6 most intense peaks (5° ≤ 2θ ≤ 70°), low angle first:
Position (°2θ), Rel. int., h k l
13.50, 47, 0 0 1
27.92, 100, 1 0 1
36.80, 58, 1 0 2
42.79, 39, 1 1 0
48.51, 26, 0 1 3
51.87, 18, 0 2 1

Structure:
Lattice parameters (Å, degrees): 4.2263 4.2263 6.5577 90.00 90.00 120.00
Space group P3m1 (No. 156)
Symmetry-distinct sites (fractional):
La1 0.0000 0.0000 0.0000 [1 per cell]
Eu1 0.6667 0.3333 0.5352 [1 per cell]
Ir1 0.3333 0.6667 0.7851 [1 per cell]

Structure and computed X-ray diffraction stick pattern of Ac6CoSn2 (a DFT-relaxed cell (PBE, Alexandria); λ = 1.5418 Å (Cu Kα)).
Lines closer than 0.1° are merged.

The 6 most intense peaks (5° ≤ 2θ ≤ 70°), low angle first:
Position (°2θ), Rel. int., h k l
23.83, 25, 2 0 0
25.12, 100, 1 1 3
26.69, 34, 2 1 0
32.70, 29, 2 1 3
33.95, 24, 2 2 0
40.86, 36, 3 0 3

Structure:
Lattice parameters (Å, degrees): 7.469 7.469 14.348 90.00 90.00 90.00
Space group P4_2/mnm (No. 136)
Symmetry-distinct sites (fractional):
Ac1 0.190 0.190 0.147 [8 per cell]
Ac2 0.222 0.222 0.500 [4 per cell]
Co1 0.000 0.000 0.000 [2 per cell]
Sn1 0.000 0.000 0.332 [4 per cell]